(1)
Structure and simulated powder X-ray diffraction pattern of Pm3HoTl3Te8 (DFT lattice parameters and positions (GGA-PBE); Cu Kα).

Cell and atoms:
a b c (Å): 8.9521 8.9521 9.6705
angles (deg): 117.61 117.61 59.94
Atoms (fractional coordinates):
Pm: 0.0000 0.0000 0.0000
Pm: 0.0000 0.5000 0.0000
Pm: 0.5000 0.0000 0.0000
Ho: 0.5000 0.5000 0.0000
Tl: 0.0000 0.5000 0.5000
Tl: 0.5000 0.0000 0.5000
Tl: 0.5000 0.5000 0.5000
Te: 0.2408 0.2408 0.2224
Te: 0.2452 0.7361 0.2174
Te: 0.2639 0.2639 0.7827
Te: 0.2639 0.7548 0.7826
Te: 0.7361 0.2452 0.2174
Te: 0.7361 0.7361 0.2173
Te: 0.7548 0.2639 0.7826
Te: 0.7592 0.7592 0.7776

The 6 most intense peaks (10° ≤ 2θ ≤ 90°), in order of falling intensity:
2theta  I/Imax
27.23  100
37.42  39
40.31  36
65.52  22
49.33  20
61.47  16

---

(2)
Structure and simulated powder X-ray diffraction pattern of PmYHo2Te6 (DFT lattice parameters and positions (GGA-PBE); Cu Kα).

Cell and atoms:
a b c (Å): 8.3387 8.3387 8.3387
angles (deg): 55.27 55.27 55.27
Atoms (fractional coordinates):
Pm: 0.0000 0.0000 0.0000
Y: 0.4980 0.4980 0.4980
Ho: 0.3113 0.3113 0.3113
Ho: 0.8128 0.8128 0.8128
Te: 0.0877 0.7070 0.4171
Te: 0.2160 0.5848 0.9082
Te: 0.4171 0.0877 0.7070
Te: 0.5848 0.9082 0.2160
Te: 0.7070 0.4171 0.0877
Te: 0.9082 0.2160 0.5848

The 6 most intense peaks (10° ≤ 2θ ≤ 90°), in order of falling intensity:
2theta  I/Imax
26.29  100
34.45  96
40.39  63
15.66  36
54.10  25
21.42  24

---

(3)
Structure and simulated powder X-ray diffraction pattern of PmY3Ho2Te6 (DFT lattice parameters and positions (GGA-PBE); Cu Kα).

Cell and atoms:
a b c (Å): 9.7694 9.7694 8.7863
angles (deg): 102.63 102.63 25.75
Atoms (fractional coordinates):
Pm: 0.0000 0.0000 0.0000
Y: 0.0000 0.0000 0.5000
Y: 0.3384 0.3384 0.1668
Y: 0.6616 0.6616 0.8332
Ho: 0.3360 0.3360 0.6708
Ho: 0.6640 0.6640 0.3292
Te: 0.1686 0.1686 0.5821
Te: 0.1711 0.1711 0.0871
Te: 0.4982 0.4982 0.7430
Te: 0.5018 0.5018 0.2570
Te: 0.8289 0.8289 0.9129
Te: 0.8314 0.8314 0.4179

The 6 most intense peaks (10° ≤ 2θ ≤ 90°), in order of falling intensity:
2theta  I/Imax
28.87  100
41.15  38
41.38  25
51.32  13
41.49  12
59.81  12

---

(4)
Structure and simulated powder X-ray diffraction pattern of Pm12Ho6Th (DFT lattice parameters and positions (GGA-PBE); Cu Kα).

Cell and atoms:
a b c (Å): 8.6416 8.6416 8.6416
angles (deg): 89.06 89.06 89.06
Atoms (fractional coordinates):
Pm: 0.0158 0.3569 0.1969
Pm: 0.1969 0.0158 0.3569
Pm: 0.2188 0.5627 0.4643
Pm: 0.3569 0.1969 0.0158
Pm: 0.4373 0.5357 0.7812
Pm: 0.4643 0.2188 0.5627
Pm: 0.5357 0.7812 0.4373
Pm: 0.5627 0.4643 0.2188
Pm: 0.6431 0.8031 0.9842
Pm: 0.7812 0.4373 0.5357
Pm: 0.8031 0.9842 0.6431
Pm: 0.9842 0.6431 0.8031
Ho: 0.0979 0.2557 0.7015
Ho: 0.2557 0.7015 0.0979
Ho: 0.2985 0.9021 0.7443
Ho: 0.7015 0.0979 0.2557
Ho: 0.7443 0.2985 0.9021
Ho: 0.9021 0.7443 0.2985
Th: 0.0000 0.0000 0.0000

The 6 most intense peaks (10° ≤ 2θ ≤ 90°), in order of falling intensity:
2theta  I/Imax
31.28  100
32.62  62
30.59  43
32.94  33
31.06  27
54.59  21